Entry 1:
Computed XRD peak list
Compound: Sr2Li3Tl4
Radiation: Cu Ka
Structure: a structure optimized by DFT (PBE)
Neutral-atom scattering factors, no anomalous dispersion.

Largest 10 diffraction maxima, low angle first, 2θ from 10° to 80°:
Position (°2θ)  I_rel
22.59  76
23.06  100
29.65  37
31.19  60
31.36  45
32.06  40
34.46  79
36.98  32
37.40  27
51.23  34

Cell and atoms:
Unit cell a=9.172 b=9.172 c=8.857 alpha=90.00 beta=90.00 gamma=138.93
Fractional coordinates of all 18 atoms:
Sr (0.110, 0.890, 0.908)
Sr (0.390, 0.610, 0.408)
Sr (0.610, 0.390, 0.592)
Sr (0.890, 0.110, 0.092)
Li (0.000, 0.000, 0.500)
Li (0.022, 0.478, 0.750)
Li (0.478, 0.022, 0.250)
Li (0.500, 0.500, 0.000)
Li (0.522, 0.978, 0.750)
Li (0.978, 0.522, 0.250)
Tl (0.180, 0.820, 0.520)
Tl (0.189, 0.311, 0.750)
Tl (0.311, 0.189, 0.250)
Tl (0.320, 0.680, 0.020)
Tl (0.680, 0.320, 0.980)
Tl (0.689, 0.811, 0.750)
Tl (0.811, 0.689, 0.250)
Tl (0.820, 0.180, 0.480)

---

Entry 2:
Computed XRD peak list
Compound: Rb2BeBr6O
Radiation: Cu Ka
Structure: a structure optimized by DFT (PBE)
Neutral-atom scattering factors, no anomalous dispersion.

Largest 10 diffraction maxima, low angle first, 2θ from 10° to 80°:
Position (°2θ)  I_rel
26.28  13
28.54  100
29.23  11
31.35  42
34.55  17
36.29  16
48.70  20
49.18  13
54.09  16
57.84  12

Cell and atoms:
Unit cell a=7.555 b=7.555 c=7.555 alpha=115.44 beta=115.44 gamma=98.10
Fractional coordinates of all 10 atoms:
Rb (0.250, 0.750, 0.500)
Rb (0.750, 0.250, 0.500)
Be (0.000, 0.000, 0.000)
Br (0.203, 0.203, 0.407)
Br (0.203, 0.797, 0.000)
Br (0.291, 0.291, 0.000)
Br (0.709, 0.709, 0.000)
Br (0.797, 0.203, 0.000)
Br (0.797, 0.797, 0.593)
O (0.500, 0.500, 0.000)

---

Entry 3:
Computed XRD peak list
Compound: Tb3UHg3Te8
Radiation: Cu Ka
Structure: a structure optimized by DFT (PBE)
Neutral-atom scattering factors, no anomalous dispersion.

Largest 10 diffraction maxima, low angle first, 2θ from 10° to 80°:
Position (°2θ)  I_rel
12.28  12
27.72  100
37.60  40
41.52  35
43.85  7
50.65  19
57.24  12
61.98  10
67.50  16
73.15  11

Cell and atoms:
Unit cell a=8.700 b=8.700 c=9.663 alpha=116.71 beta=116.71 gamma=60.00
Fractional coordinates of all 15 atoms:
Tb (0.000, 0.000, 0.000)
Tb (0.000, 0.500, 0.000)
Tb (0.500, 0.000, 0.000)
U (0.500, 0.500, 0.000)
Hg (0.000, 0.500, 0.500)
Hg (0.500, 0.000, 0.500)
Hg (0.500, 0.500, 0.500)
Te (0.239, 0.239, 0.217)
Te (0.249, 0.732, 0.213)
Te (0.268, 0.268, 0.787)
Te (0.268, 0.751, 0.787)
Te (0.732, 0.249, 0.213)
Te (0.732, 0.732, 0.213)
Te (0.751, 0.268, 0.787)
Te (0.761, 0.761, 0.783)

---

Entry 4:
Computed XRD peak list
Compound: PrGeHRu2
Radiation: Cu Ka
Structure: a structure optimized by DFT (PBE)
Neutral-atom scattering factors, no anomalous dispersion.

Largest 10 diffraction maxima, low angle first, 2θ from 10° to 80°:
Position (°2θ)  I_rel
28.77  12
33.91  40
34.61  100
36.03  41
39.58  19
40.52  16
44.20  18
48.04  21
60.52  15
61.04  14

Cell and atoms:
Unit cell a=5.851 b=5.851 c=7.493 alpha=90.00 beta=90.00 gamma=142.23
Fractional coordinates of all 10 atoms:
Pr (0.052, 0.948, 0.750)
Pr (0.948, 0.052, 0.250)
Ge (0.225, 0.775, 0.250)
Ge (0.775, 0.225, 0.750)
H (0.500, 0.500, 0.000)
H (0.500, 0.500, 0.500)
Ru (0.340, 0.660, 0.550)
Ru (0.340, 0.660, 0.950)
Ru (0.660, 0.340, 0.050)
Ru (0.660, 0.340, 0.450)

---

Entry 5:
Computed XRD peak list
Compound: ScTl3Ag3Br8
Radiation: Cu Ka
Structure: a structure optimized by DFT (PBE)
Neutral-atom scattering factors, no anomalous dispersion.

Largest 10 diffraction maxima, low angle first, 2θ from 10° to 80°:
Position (°2θ)  I_rel
12.76  10
14.23  13
28.69  100
30.69  8
38.53  11
38.65  22
43.27  23
43.43  12
52.86  11
70.52  10

Cell and atoms:
Unit cell a=8.363 b=8.363 c=9.470 alpha=116.36 beta=116.36 gamma=59.78
Fractional coordinates of all 15 atoms:
Sc (0.000, 0.000, 0.000)
Tl (0.000, 0.000, 0.500)
Tl (0.000, 0.500, 0.500)
Tl (0.500, 0.000, 0.500)
Ag (0.000, 0.500, 0.000)
Ag (0.500, 0.000, 0.000)
Ag (0.500, 0.500, 0.000)
Br (0.217, 0.217, 0.196)
Br (0.218, 0.762, 0.196)
Br (0.238, 0.782, 0.804)
Br (0.276, 0.276, 0.830)
Br (0.724, 0.724, 0.170)
Br (0.762, 0.218, 0.196)
Br (0.782, 0.238, 0.804)
Br (0.783, 0.783, 0.804)

---

Entry 6:
Computed XRD peak list
Compound: Tl3Ru
Radiation: Cu Ka
Structure: a structure optimized by DFT (PBE)
Neutral-atom scattering factors, no anomalous dispersion.

Largest 10 diffraction maxima, low angle first, 2θ from 10° to 80°:
Position (°2θ)  I_rel
16.67  100
29.09  92
33.71  96
37.83  52
48.42  70
51.56  27
57.48  43
60.30  24
73.42  15
78.39  18

Cell and atoms:
Unit cell a=5.317 b=5.317 c=5.317 alpha=90.00 beta=90.00 gamma=90.00
Fractional coordinates of all 4 atoms:
Tl (0.000, 0.000, 0.500)
Tl (0.000, 0.500, 0.000)
Tl (0.500, 0.000, 0.000)
Ru (0.000, 0.000, 0.000)